[1]
Structure and theoretical XRD peak list of KHg2F7 (a cell relaxed with PBE; Cu Kα, 1.54184 Å).
Peak positions follow from Bragg's law for the DFT cell and can differ from measured ones.

Crystal structure
Unit cell a=6.8641 b=6.8641 c=4.3303 alpha=90.00 beta=90.00 gamma=120.07
Element x y z (fractional)
K  0.0000  0.0000  0.0000
Hg  0.3143  0.6857  0.5000
Hg  0.6857  0.3143  0.5000
F  0.0390  0.3252  0.5000
F  0.3107  0.6893  0.0000
F  0.3252  0.0390  0.5000
F  0.5000  0.5000  0.5000
F  0.6748  0.9610  0.5000
F  0.6893  0.3107  0.0000
F  0.9610  0.6748  0.5000

Peak list (12 most intense, 2θ = 10–90°, in order of falling intensity)
Position (°2θ), I (rel.)
25.97, 100
14.90, 68
25.45, 60
20.51, 59
33.32, 41
45.49, 37
49.80, 35
45.81, 28
40.14, 24
36.69, 23
50.68, 21
63.68, 20


[2]
Structure and theoretical XRD peak list of K4HgF6 (a cell relaxed with PBE; Cu Kα, 1.54184 Å).
Peak positions follow from Bragg's law for the DFT cell and can differ from measured ones.

Crystal structure
Unit cell a=7.4938 b=7.4938 c=7.4938 alpha=89.89 beta=89.89 gamma=89.89
Element x y z (fractional)
K  0.1131  0.7500  0.3869
K  0.2500  0.2500  0.2500
K  0.2500  0.6131  0.8869
K  0.3869  0.1131  0.7500
K  0.6131  0.8869  0.2500
K  0.7500  0.3869  0.1131
K  0.7500  0.7500  0.7500
K  0.8869  0.2500  0.6131
Hg  0.0000  0.0000  0.0000
Hg  0.5000  0.5000  0.5000
F  0.0558  0.9248  0.7016
F  0.0752  0.2984  0.9442
F  0.2016  0.4248  0.5558
F  0.2984  0.9442  0.0752
F  0.4248  0.5558  0.2016
F  0.4442  0.7984  0.5752
F  0.5558  0.2016  0.4248
F  0.5752  0.4442  0.7984
F  0.7016  0.0558  0.9248
F  0.7984  0.5752  0.4442
F  0.9248  0.7016  0.0558
F  0.9442  0.0752  0.2984

Peak list (12 most intense, 2θ = 10–90°, in order of falling intensity)
Position (°2θ), I (rel.)
16.73, 100
29.20, 60
37.96, 51
33.81, 24
45.24, 23
51.76, 16
45.32, 15
23.75, 14
78.76, 12
54.77, 12
63.33, 12
63.22, 11


[3]
Structure and theoretical XRD peak list of K2HgF6 (a cell relaxed with PBE; Cu Kα, 1.54184 Å).
Peak positions follow from Bragg's law for the DFT cell and can differ from measured ones.

Crystal structure
Unit cell a=6.1802 b=7.9163 c=7.8409 alpha=90.00 beta=117.89 gamma=90.00
Element x y z (fractional)
K  0.1779  0.0561  0.3089
K  0.1779  0.4439  0.8089
K  0.8221  0.5561  0.1911
K  0.8221  0.9439  0.6911
Hg  0.5000  0.0000  0.0000
Hg  0.5000  0.5000  0.5000
F  0.1833  0.1364  0.9638
F  0.1833  0.3636  0.4638
F  0.2748  0.7179  0.4260
F  0.2748  0.7821  0.9260
F  0.3928  0.0355  0.7033
F  0.3928  0.4645  0.2033
F  0.6072  0.5355  0.7967
F  0.6072  0.9645  0.2967
F  0.7252  0.2179  0.0740
F  0.7252  0.2821  0.5740
F  0.8167  0.6364  0.5362
F  0.8167  0.8636  0.0362

Peak list (12 most intense, 2θ = 10–90°, in order of falling intensity)
Position (°2θ), I (rel.)
17.00, 100
18.95, 53
23.09, 51
16.23, 50
31.16, 50
22.46, 47
27.49, 45
27.83, 33
40.69, 31
36.24, 21
45.25, 21
32.43, 21